Diffraction record for DyHo8Er3. The powder XRD pattern is simulated, not measured: it uses a crystal structure in Alexandria, relaxed with PBE and Cu Kα.
Peak positions follow from Bragg's law for the DFT cell and can differ from measured ones.

```
data_DyHo8Er3
_symmetry_space_group_name_H-M 'P 1 2/m 1'
_symmetry_Int_Tables_number 10
_cell_length_a 5.5423
_cell_length_b 9.5920
_cell_length_c 6.9249
_cell_angle_alpha 90.00
_cell_angle_beta 90.17
_cell_angle_gamma 90.00
loop_
_symmetry_equiv_pos_as_xyz
'x,y,z'
'-x,-y,-z'
'-x,y,-z'
'x,-y,z'
loop_
_atom_site_label
_atom_site_type_symbol
_atom_site_fract_x
_atom_site_fract_y
_atom_site_fract_z
Dy1 Dy 0.0000 0.0000 0.0000
Ho1 Ho 0.0004 0.3339 0.2501
Ho2 Ho 0.5003 0.1668 0.2509
Er1 Er 0.0000 0.0000 0.5000
Er2 Er 0.5000 0.5000 0.0000
Er3 Er 0.5000 0.5000 0.5000
```

Largest 10 diffraction maxima, low angle first, 10° ≤ 2θ ≤ 90°:
hkl 1 1 2, 2θ 31.87, rel. 92
hkl 2 0 0, 2θ 32.32, rel. 100
hkl 0 4 2, 2θ 46.00, rel. 23
hkl 2 2 2, 2θ 46.08, rel. 11
hkl 2 4 -2, 2θ 57.31, rel. 18
hkl 2 4 2, 2θ 57.41, rel. 18
hkl 3 3 0, 2θ 57.64, rel. 19
hkl 2 0 -4, 2θ 63.29, rel. 15
hkl 2 0 4, 2θ 63.42, rel. 15
hkl 4 0 0, 2θ 67.64, rel. 12